For Tb4NdHg, a crystal structure in Alexandria, relaxed with GGA-PBE gives the computed powder diffraction line list in this record (copper Kα).

Cell and atoms:
abc: 3.6149 3.6149 14.0697
angles: 90.00 90.00 90.00
Space group P4/mmm (No. 123)
Symmetry-distinct sites (fractional):
Tb 0.0000 0.0000 0.1417 x2
Tb 0.5000 0.5000 0.3189 x2
Nd 0.0000 0.0000 0.5000 x1
Hg 0.5000 0.5000 0.0000 x1

Principal peaks in the range 5 to 70 degrees two-theta, low angle first:
| 2theta | d_spacing | Rel. int. | hkl |
| --- | --- | --- | --- |
| 6.28 | 14.070 | 14 | 0 0 1 |
| 31.24 | 2.863 | 100 | 1 0 3 |
| 35.11 | 2.556 | 40 | 1 1 0 |
| 50.49 | 1.807 | 15 | 2 0 0 |
| 52.99 | 1.728 | 17 | 1 1 6 |
| 60.58 | 1.528 | 31 | 2 1 3 |

For Tb2Nd2Hg3, a crystal structure in Alexandria, relaxed with GGA-PBE gives the computed powder diffraction line list in this record (copper Kα).

Cell and atoms:
abc: 5.2616 5.2616 25.8045
angles: 90.00 90.00 120.00
Space group R-3m (No. 166, hexagonal axes)
Symmetry-distinct sites (fractional):
Tb 0.0000 0.0000 0.1223 x6
Nd 0.0000 0.0000 0.3725 x6
Hg 0.0000 0.0000 0.2471 x6
Hg 0.0000 0.0000 0.5000 x3

Principal peaks in the range 5 to 70 degrees two-theta, low angle first:
| 2theta | d_spacing | Rel. int. | hkl |
| --- | --- | --- | --- |
| 10.28 | 8.601 | 9 | 0 0 3 |
| 19.79 | 4.487 | 4 | 1 0 1 |
| 20.67 | 4.298 | 6 | 0 0 6 |
| 34.07 | 2.632 | 100 | 1 1 0 |
| 48.95 | 1.861 | 18 | 2 0 8 |
| 60.98 | 1.519 | 37 | 3 0 0 |

For TbNdHg5, a crystal structure in Alexandria, relaxed with GGA-PBE gives the computed powder diffraction line list in this record (copper Kα).

Cell and atoms:
abc: 6.5329 6.5795 8.8840
angles: 90.00 90.00 90.00
Space group Cmmm (No. 65)
Symmetry-distinct sites (fractional):
Tb 0.0000 0.0000 0.0000 x2
Nd 0.0000 0.5000 0.5000 x2
Hg 0.0000 0.5000 0.0000 x2
Hg 0.2500 0.2500 0.2539 x8

Principal peaks in the range 5 to 70 degrees two-theta, low angle first:
| 2theta | d_spacing | Rel. int. | hkl |
| --- | --- | --- | --- |
| 33.91 | 2.644 | 100 | 0 2 2 |
| 34.07 | 2.632 | 99 | 2 0 2 |
| 38.85 | 2.318 | 70 | 2 2 0 |
| 40.62 | 2.221 | 31 | 0 0 4 |
| 57.47 | 1.604 | 45 | 2 2 4 |
| 67.11 | 1.395 | 28 | 2 4 2 |

For TbNd2Hg4, a crystal structure in Alexandria, relaxed with GGA-PBE gives the computed powder diffraction line list in this record (copper Kα).

Cell and atoms:
abc: 5.1819 5.1819 26.8750
angles: 90.00 90.00 120.00
Space group R-3m (No. 166, hexagonal axes)
Symmetry-distinct sites (fractional):
Tb 0.0000 0.0000 0.0000 x3
Nd 0.0000 0.0000 0.2439 x6
Hg 0.0000 0.0000 0.1263 x6
Hg 0.0000 0.0000 0.3711 x6

Principal peaks in the range 5 to 70 degrees two-theta, low angle first:
| 2theta | d_spacing | Rel. int. | hkl |
| --- | --- | --- | --- |
| 23.84 | 3.732 | 19 | 1 0 4 |
| 33.32 | 2.689 | 100 | 0 1 8 |
| 34.62 | 2.591 | 94 | 1 1 0 |
| 48.81 | 1.866 | 35 | 2 0 8 |
| 58.69 | 1.573 | 18 | 1 0 16 |
| 61.22 | 1.514 | 35 | 1 2 8 |

For TbNdHgTe, a crystal structure in Alexandria, relaxed with GGA-PBE gives the computed powder diffraction line list in this record (copper Kα).

Cell and atoms:
abc: 4.2527 4.2527 23.3856
angles: 90.00 90.00 120.00
Space group R3m (No. 160, hexagonal axes)
Symmetry-distinct sites (fractional):
Tb 0.0000 0.0000 0.0000 x3
Nd 0.0000 0.0000 0.4991 x3
Hg 0.0000 0.0000 0.2522 x3
Te 0.0000 0.0000 0.7466 x3

Principal peaks in the range 5 to 70 degrees two-theta, low angle first:
| 2theta | d_spacing | Rel. int. | hkl |
| --- | --- | --- | --- |
| 28.65 | 3.116 | 100 | 1 0 4 |
| 39.35 | 2.290 | 43 | 0 1 8 |
| 42.51 | 2.126 | 35 | 1 1 0 |
| 52.07 | 1.756 | 19 | 0 2 4 |
| 64.90 | 1.437 | 19 | 1 1 12 |
| 69.40 | 1.354 | 16 | 2 1 4 |

For Nd5Tc2Hg2, a crystal structure in Alexandria, relaxed with GGA-PBE gives the computed powder diffraction line list in this record (copper Kα).

Cell and atoms:
abc: 17.0922 7.6337 7.6757
angles: 90.00 90.00 90.00
Space group Cmce (No. 64)
Symmetry-distinct sites (fractional):
Nd 0.0000 0.0000 0.0000 x4
Nd 0.1265 0.1821 0.3190 x16
Tc 0.0000 0.1114 0.6066 x8
Hg 0.2227 0.0000 0.0000 x8

Principal peaks in the range 5 to 70 degrees two-theta, low angle first:
| 2theta | d_spacing | Rel. int. | hkl |
| --- | --- | --- | --- |
| 30.43 | 2.938 | 25 | 3 1 2 |
| 30.94 | 2.890 | 21 | 5 1 1 |
| 31.38 | 2.851 | 100 | 4 0 2 |
| 33.10 | 2.706 | 36 | 0 2 2 |
| 33.58 | 2.669 | 29 | 4 2 1 |
| 37.61 | 2.392 | 17 | 1 3 1 |

For Nd3HgTe3, a crystal structure in Alexandria, relaxed with GGA-PBE gives the computed powder diffraction line list in this record (copper Kα).

Cell and atoms:
abc: 12.8306 4.2668 16.1594
angles: 90.00 90.00 90.00
Space group Pnma (No. 62)
Symmetry-distinct sites (fractional):
Nd 0.0713 0.2500 0.0940 x4
Nd 0.1289 0.2500 0.5792 x4
Nd 0.2345 0.7500 0.3459 x4
Hg 0.0108 0.2500 0.7711 x4
Te 0.0545 0.2500 0.3897 x4
Te 0.1615 0.7500 0.9701 x4
Te 0.2278 0.7500 0.7029 x4

Principal peaks in the range 5 to 70 degrees two-theta, low angle first:
| 2theta | d_spacing | Rel. int. | hkl |
| --- | --- | --- | --- |
| 27.56 | 3.236 | 62 | 1 1 3 |
| 29.97 | 2.981 | 52 | 4 0 2 |
| 30.13 | 2.966 | 100 | 2 1 3 |
| 31.28 | 2.860 | 35 | 1 1 4 |
| 35.00 | 2.564 | 41 | 4 1 0 |
| 42.37 | 2.133 | 45 | 0 2 0 |

For Nd3Hg2Te, a crystal structure in Alexandria, relaxed with GGA-PBE gives the computed powder diffraction line list in this record (copper Kα).

Cell and atoms:
abc: 5.4190 16.1540 3.9058
angles: 90.00 90.00 90.00
Space group Cmmm (No. 65)
Symmetry-distinct sites (fractional):
Nd 0.0000 0.0000 0.0000 x2
Nd 0.0000 0.3371 0.0000 x4
Hg 0.0000 0.1791 0.5000 x4
Te 0.0000 0.5000 0.5000 x2

Principal peaks in the range 5 to 70 degrees two-theta, low angle first:
| 2theta | d_spacing | Rel. int. | hkl |
| --- | --- | --- | --- |
| 32.80 | 2.731 | 100 | 1 3 1 |
| 33.06 | 2.710 | 25 | 2 0 0 |
| 33.28 | 2.692 | 22 | 0 6 0 |
| 47.61 | 1.910 | 17 | 2 6 0 |
| 58.88 | 1.568 | 19 | 3 3 1 |
| 59.16 | 1.562 | 15 | 1 9 1 |

For Nd5Hg2Te2, a crystal structure in Alexandria, relaxed with GGA-PBE gives the computed powder diffraction line list in this record (copper Kα).

Cell and atoms:
abc: 16.1648 8.3949 8.1704
angles: 90.00 90.00 90.00
Space group Cmce (No. 64)
Symmetry-distinct sites (fractional):
Nd 0.0000 0.0000 0.0000 x4
Nd 0.1363 0.1685 0.3401 x16
Hg 0.0000 0.1335 0.6274 x8
Te 0.1997 0.0000 0.0000 x8

Principal peaks in the range 5 to 70 degrees two-theta, low angle first:
| 2theta | d_spacing | Rel. int. | hkl |
| --- | --- | --- | --- |
| 10.95 | 8.082 | 33 | 2 0 0 |
| 26.29 | 3.389 | 34 | 2 2 1 |
| 29.43 | 3.035 | 100 | 3 1 2 |
| 32.65 | 2.742 | 78 | 4 2 1 |
| 34.33 | 2.613 | 61 | 1 3 1 |
| 35.08 | 2.558 | 50 | 1 1 3 |

For Nd2Tl2Hg3, a crystal structure in Alexandria, relaxed with GGA-PBE gives the computed powder diffraction line list in this record (copper Kα).

Cell and atoms:
abc: 9.3853 9.3853 9.3853
angles: 90.00 90.00 90.00
Space group I2_13 (No. 199)
Symmetry-distinct sites (fractional):
Nd 0.0148 0.0148 0.0148 x8
Tl 0.1805 0.3195 0.6805 x8
Hg 0.0000 0.2500 0.2665 x12

Principal peaks in the range 5 to 70 degrees two-theta, low angle first:
| 2theta | d_spacing | Rel. int. | hkl |
| --- | --- | --- | --- |
| 30.11 | 2.968 | 100 | 3 0 1 |
| 33.06 | 2.709 | 78 | 2 2 2 |
| 35.80 | 2.508 | 86 | 3 1 2 |
| 38.36 | 2.346 | 40 | 4 0 0 |
| 49.52 | 1.841 | 43 | 4 3 1 |
| 66.03 | 1.415 | 48 | 6 2 2 |

For Nd4Tl2Hg, a crystal structure in Alexandria, relaxed with GGA-PBE gives the computed powder diffraction line list in this record (copper Kα).

Cell and atoms:
abc: 7.4894 6.8157 9.4143
angles: 90.00 110.96 90.00
Space group P2_1/m (No. 11)
Symmetry-distinct sites (fractional):
Nd 0.0904 0.2500 0.0559 x2
Nd 0.1725 0.0080 0.7276 x4
Nd 0.3268 0.7500 0.3415 x2
Tl 0.2101 0.2500 0.4392 x2
Tl 0.4340 0.7500 0.0373 x2
Hg 0.4953 0.7500 0.7012 x2

Principal peaks in the range 5 to 70 degrees two-theta, low angle first:
| 2theta | d_spacing | Rel. int. | hkl |
| --- | --- | --- | --- |
| 26.15 | 3.408 | 71 | 0 2 0 |
| 28.69 | 3.111 | 84 | 2 1 0 |
| 29.36 | 3.042 | 99 | 1 2 -1 |
| 30.54 | 2.927 | 76 | 0 0 3 |
| 31.44 | 2.845 | 100 | 1 1 -3 |
| 34.74 | 2.583 | 64 | 2 1 -3 |

For Nd7Tl2Hg, a crystal structure in Alexandria, relaxed with GGA-PBE gives the computed powder diffraction line list in this record (copper Kα).

Cell and atoms:
abc: 5.4158 5.4158 13.2102
angles: 90.00 90.00 120.00
Space group P3m1 (No. 156)
Symmetry-distinct sites (fractional):
Nd 0.0000 0.0000 0.0000 x1
Nd 0.0000 0.0000 0.2610 x1
Nd 0.0000 0.0000 0.7351 x1
Nd 0.3333 0.6667 0.4088 x1
Nd 0.3333 0.6667 0.8864 x1
Nd 0.6667 0.3333 0.1288 x1
Nd 0.6667 0.3333 0.5844 x1
Tl 0.0000 0.0000 0.4976 x1
Tl 0.6667 0.3333 0.8449 x1
Hg 0.3333 0.6667 0.1452 x1

Principal peaks in the range 5 to 70 degrees two-theta, low angle first:
| 2theta | d_spacing | Rel. int. | hkl |
| --- | --- | --- | --- |
| 20.12 | 4.414 | 18 | 0 0 3 |
| 27.79 | 3.210 | 7 | 0 1 3 |
| 33.13 | 2.704 | 100 | 1 1 0 |
| 39.04 | 2.307 | 10 | 1 1 3 |
| 47.55 | 1.912 | 18 | 0 2 4 |
| 59.13 | 1.562 | 28 | 3 0 0 |

For Nd2Tl3Hg3, a crystal structure in Alexandria, relaxed with GGA-PBE gives the computed powder diffraction line list in this record (copper Kα).

Cell and atoms:
abc: 4.7545 4.7941 9.4201
angles: 90.00 90.00 90.00
Space group Pmmm (No. 47)
Symmetry-distinct sites (fractional):
Nd 0.0000 0.0000 0.2477 x2
Tl 0.0000 0.5000 0.5000 x1
Tl 0.5000 0.0000 0.0000 x1
Tl 0.5000 0.0000 0.5000 x1
Hg 0.0000 0.5000 0.0000 x1
Hg 0.5000 0.5000 0.2489 x2

Principal peaks in the range 5 to 70 degrees two-theta, low angle first:
| 2theta | d_spacing | Rel. int. | hkl |
| --- | --- | --- | --- |
| 32.64 | 2.744 | 100 | 1 1 2 |
| 37.52 | 2.397 | 17 | 0 2 0 |
| 37.85 | 2.377 | 17 | 2 0 0 |
| 38.22 | 2.355 | 16 | 0 0 4 |
| 64.63 | 1.442 | 14 | 1 3 2 |
| 65.07 | 1.433 | 14 | 3 1 2 |